For Ac2AlGaSi, a DFT-relaxed cell (PBE, Alexandria) gives the theoretical powder XRD pattern in this record (Cu Ka).

Structural model:
```
10
Lattice="8.050 0.000 0.000 0.000 4.528 0.000 -0.022 0.000 8.078" Properties=species:S:1:pos:R:3 pbc="T T T"
Ac 1.804 1.132 0.075
Ac 1.805 1.132 3.959
Ac 6.224 3.396 4.119
Ac 6.224 3.396 8.003
Al 3.316 3.396 6.072
Al 4.713 1.132 2.006
Ga 3.380 3.396 2.010
Ga 4.649 1.132 6.068
Si 0.841 3.396 6.053
Si 7.188 1.132 2.025
```

Principal peaks in the range 10° ≤ 2θ ≤ 80°, in order of falling intensity:
h k l	2θ (°)	I (rel.)
1 1 2	31.70	100
1 1 0	22.53	62
2 0 0	22.05	53
2 0 -2	31.38	46
3 1 0	39.02	31
2 2 -2	51.55	23
4 0 2	50.77	19
0 2 0	39.82	18
2 2 0	45.98	17
0 0 4	44.88	12